1.
# LuZnAgAu
Computed PXRD pattern, copper Kα. Input: a GGA-PBE-relaxed structure.
Peak positions follow from Bragg's law for the DFT cell and can differ from measured ones.

Cell and atoms:
```
data_LuZnAgAu
_cell_length_a 6.7346
_cell_length_b 6.7346
_cell_length_c 6.7346
_cell_angle_alpha 90.00
_cell_angle_beta 90.00
_cell_angle_gamma 90.00
_space_group_name_H-M_alt 'F -4 3 m'
_space_group_IT_number 216
_space_group_name_Hall 'F -4 2 3'
loop_
_atom_site_label
_atom_site_fract_x
_atom_site_fract_y
_atom_site_fract_z
Lu1 0.0000 0.0000 0.0000
Zn1 0.0000 0.0000 0.5000
Ag1 0.2500 0.2500 0.2500
Au1 0.2500 0.2500 0.7500
```

Peak list (6 most intense, 2θ from 10° to 90°, in order of rising 2θ)
3.888 Å, 2θ 22.9, rel. 132, hkl 1 1 1; 2.381 Å, 2θ 37.8, rel. 1000, hkl 2 2 0; 2.031 Å, 2θ 44.6, rel. 74, hkl 3 1 1; 1.684 Å, 2θ 54.5, rel. 172, hkl 4 0 0; 1.375 Å, 2θ 68.2, rel. 348, hkl 4 2 2; 1.191 Å, 2θ 80.7, rel. 110, hkl 4 4 0

***

2.
# Sc2NiAs2Pd
Computed PXRD pattern, copper Kα. Input: a GGA-PBE-relaxed structure.
Peak positions follow from Bragg's law for the DFT cell and can differ from measured ones.

Cell and atoms:
```
data_Sc2NiAs2Pd
_cell_length_a 7.3613
_cell_length_b 4.2194
_cell_length_c 14.0439
_cell_angle_alpha 90.00
_cell_angle_beta 99.53
_cell_angle_gamma 90.00
_space_group_name_H-M_alt 'P 1 m 1'
_space_group_IT_number 6
_space_group_name_Hall 'P -2y'
loop_
_atom_site_label
_atom_site_fract_x
_atom_site_fract_y
_atom_site_fract_z
Sc1 0.0000 0.0000 0.0000
Sc2 0.0054 0.5000 0.4927
Sc3 0.2394 0.0000 0.7383
Sc4 0.2470 0.5000 0.2428
Sc5 0.4842 0.0000 0.4852
Sc6 0.4994 0.5000 0.9990
Sc7 0.7437 0.0000 0.2392
Sc8 0.7559 0.5000 0.7411
Ni1 0.0603 0.5000 0.6769
Ni2 0.0606 0.0000 0.1830
Ni3 0.3058 0.5000 0.4263
Ni4 0.5585 0.5000 0.1816
As1 0.1206 0.5000 0.8601
As2 0.1282 0.0000 0.3638
As3 0.3601 0.5000 0.6101
As4 0.3732 0.0000 0.1242
As5 0.6088 0.5000 0.3627
As6 0.6216 0.0000 0.8666
As7 0.8758 0.5000 0.1258
As8 0.8832 0.0000 0.6186
Pd1 0.3085 0.0000 0.9316
Pd2 0.5586 0.0000 0.6757
Pd3 0.8093 0.0000 0.4283
Pd4 0.8126 0.5000 0.9332
```

Peak list (6 most intense, 2θ from 10° to 90°, in order of rising 2θ)
3.459 Å, 2θ 25.8, rel. 791, hkl 1 1 1; 2.122 Å, 2θ 42.6, rel. 1000, hkl 3 1 -1; 2.111 Å, 2θ 42.8, rel. 496, hkl 0 2 0; 1.802 Å, 2θ 50.7, rel. 241, hkl 1 1 -7; 1.493 Å, 2θ 62.2, rel. 155, hkl 2 2 -6; 1.221 Å, 2θ 78.3, rel. 231, hkl 3 3 -1

***

3.
# Cs4Pr6OsI13
Computed PXRD pattern, copper Kα. Input: a GGA-PBE-relaxed structure.
Peak positions follow from Bragg's law for the DFT cell and can differ from measured ones.

Cell and atoms:
```
data_Cs4Pr6OsI13
_cell_length_a 14.6546
_cell_length_b 13.9901
_cell_length_c 12.6618
_cell_angle_alpha 90.00
_cell_angle_beta 120.43
_cell_angle_gamma 90.00
_space_group_name_H-M_alt 'C 1 2/m 1'
_space_group_IT_number 12
_space_group_name_Hall '-C 2y'
loop_
_atom_site_label
_atom_site_fract_x
_atom_site_fract_y
_atom_site_fract_z
Cs1 0.0000 0.2171 0.0000
Cs2 0.1768 0.0000 0.7821
Pr1 0.0112 0.5000 0.7285
Pr2 0.1580 0.3575 0.5847
Os1 0.0000 0.5000 0.5000
I1 0.0000 0.1745 0.5000
I2 0.0000 0.5000 0.0000
I3 0.1312 0.0000 0.2773
I4 0.1660 0.3332 0.3305
I5 0.1906 0.3362 0.8589
```

Peak list (6 most intense, 2θ from 10° to 90°, in order of rising 2θ)
3.750 Å, 2θ 23.7, rel. 360, hkl 1 3 -2; 3.154 Å, 2θ 28.3, rel. 474, hkl 2 0 -4; 3.126 Å, 2θ 28.6, rel. 1000, hkl 3 3 0; 2.295 Å, 2θ 39.3, rel. 381, hkl 5 3 -4; 2.152 Å, 2θ 42.0, rel. 355, hkl 1 3 4; 1.876 Å, 2θ 48.5, rel. 232, hkl 2 6 -4

***

4.
# CdCl
Computed PXRD pattern, copper Kα. Input: a GGA-PBE-relaxed structure.
Peak positions follow from Bragg's law for the DFT cell and can differ from measured ones.

Cell and atoms:
```
data_CdCl
_cell_length_a 5.9253
_cell_length_b 5.9253
_cell_length_c 5.9253
_cell_angle_alpha 90.00
_cell_angle_beta 90.00
_cell_angle_gamma 90.00
_space_group_name_H-M_alt 'F m -3 m'
_space_group_IT_number 225
_space_group_name_Hall '-F 4 2 3'
loop_
_atom_site_label
_atom_site_fract_x
_atom_site_fract_y
_atom_site_fract_z
Cd1 0.0000 0.0000 0.0000
Cl1 0.0000 0.0000 0.5000
```

Peak list (6 most intense, 2θ from 10° to 90°, in order of rising 2θ)
3.421 Å, 2θ 26.0, rel. 509, hkl 1 1 1; 2.963 Å, 2θ 30.2, rel. 1000, hkl 2 0 0; 2.095 Å, 2θ 43.2, rel. 712, hkl 2 2 0; 1.787 Å, 2θ 51.1, rel. 254, hkl 3 1 1; 1.710 Å, 2θ 53.6, rel. 241, hkl 2 2 2; 1.325 Å, 2θ 71.2, rel. 297, hkl 4 2 0

***

5.
# LaPr3Se3S4
Computed PXRD pattern, copper Kα. Input: a GGA-PBE-relaxed structure.
Peak positions follow from Bragg's law for the DFT cell and can differ from measured ones.

Cell and atoms:
```
data_LaPr3Se3S4
_cell_length_a 10.1848
_cell_length_b 4.3731
_cell_length_c 13.8040
_cell_angle_alpha 90.00
_cell_angle_beta 90.00
_cell_angle_gamma 90.00
_space_group_name_H-M_alt 'A m m 2'
_space_group_IT_number 38
_space_group_name_Hall 'A 2 -2'
loop_
_atom_site_label
_atom_site_fract_x
_atom_site_fract_y
_atom_site_fract_z
La1 0.0000 0.0000 0.0000
Pr1 0.2373 0.0000 0.7201
Pr2 0.5000 0.0000 0.0171
Se1 0.0000 0.0000 0.3385
Se2 0.3796 0.0000 0.3684
S1 0.0000 0.0000 0.6234
S2 0.2463 0.0000 0.0922
S3 0.5000 0.0000 0.6502
```

Peak list (6 most intense, 2θ from 10° to 90°, in order of rising 2θ)
4.098 Å, 2θ 21.7, rel. 707, hkl 2 0 2; 3.226 Å, 2θ 27.7, rel. 357, hkl 2 1 1; 3.170 Å, 2θ 28.2, rel. 1000, hkl 0 1 3; 2.691 Å, 2θ 33.3, rel. 310, hkl 2 1 3; 2.187 Å, 2θ 41.3, rel. 242, hkl 0 2 0; 2.122 Å, 2θ 42.6, rel. 346, hkl 2 1 5

***

6.
# Pr2NiSn
Computed PXRD pattern, copper Kα. Input: a GGA-PBE-relaxed structure.
Peak positions follow from Bragg's law for the DFT cell and can differ from measured ones.

Cell and atoms:
```
data_Pr2NiSn
_cell_length_a 4.4221
_cell_length_b 4.2419
_cell_length_c 11.4827
_cell_angle_alpha 90.00
_cell_angle_beta 90.00
_cell_angle_gamma 90.00
_space_group_name_H-M_alt 'A m m 2'
_space_group_IT_number 38
_space_group_name_Hall 'A 2 -2'
loop_
_atom_site_label
_atom_site_fract_x
_atom_site_fract_y
_atom_site_fract_z
Pr1 0.0000 0.0000 0.0000
Pr2 0.5000 0.0000 0.2844
Ni1 0.0000 0.0000 0.7244
Sn1 0.5000 0.0000 0.5750
```

Peak list (6 most intense, 2θ from 10° to 90°, in order of rising 2θ)
2.958 Å, 2θ 30.2, rel. 1000, hkl 1 1 1; 2.842 Å, 2θ 31.5, rel. 415, hkl 0 1 3; 2.408 Å, 2θ 37.3, rel. 265, hkl 1 0 4; 2.391 Å, 2θ 37.6, rel. 562, hkl 1 1 3; 2.211 Å, 2θ 40.8, rel. 259, hkl 2 0 0; 1.530 Å, 2θ 60.5, rel. 319, hkl 2 2 0

***

7.
# YHo3Ni4
Computed PXRD pattern, copper Kα. Input: a GGA-PBE-relaxed structure.
Peak positions follow from Bragg's law for the DFT cell and can differ from measured ones.

Cell and atoms:
```
data_YHo3Ni4
_cell_length_a 5.4081
_cell_length_b 4.1695
_cell_length_c 7.0358
_cell_angle_alpha 90.00
_cell_angle_beta 90.02
_cell_angle_gamma 90.00
_space_group_name_H-M_alt 'P 1 m 1'
_space_group_IT_number 6
_space_group_name_Hall 'P -2y'
loop_
_atom_site_label
_atom_site_fract_x
_atom_site_fract_y
_atom_site_fract_z
Y1 0.0000 0.0000 0.0000
Ho1 0.2399 0.0000 0.5000
Ho2 0.5000 0.5000 0.1406
Ho3 0.7398 0.5000 0.6405
Ni1 0.2455 0.5000 0.7822
Ni2 0.4946 0.0000 0.8582
Ni3 0.7453 0.0000 0.3584
Ni4 0.9946 0.5000 0.2825
```

Peak list (6 most intense, 2θ from 10° to 90°, in order of rising 2θ)
2.989 Å, 2θ 29.9, rel. 834, hkl 1 1 -1; 2.689 Å, 2θ 33.3, rel. 1000, hkl 0 1 2; 2.524 Å, 2θ 35.6, rel. 884, hkl 2 0 -1; 2.408 Å, 2θ 37.4, rel. 861, hkl 1 1 2; 2.159 Å, 2θ 41.8, rel. 835, hkl 2 1 1; 2.085 Å, 2θ 43.4, rel. 520, hkl 0 2 0

***

8.
# SiW2
Computed PXRD pattern, copper Kα. Input: a GGA-PBE-relaxed structure.
Peak positions follow from Bragg's law for the DFT cell and can differ from measured ones.

Cell and atoms:
```
data_SiW2
_cell_length_a 5.9826
_cell_length_b 5.9826
_cell_length_c 4.9237
_cell_angle_alpha 90.00
_cell_angle_beta 90.00
_cell_angle_gamma 90.00
_space_group_name_H-M_alt 'I 4/m c m'
_space_group_IT_number 140
_space_group_name_Hall '-I 4 2c'
loop_
_atom_site_label
_atom_site_fract_x
_atom_site_fract_y
_atom_site_fract_z
Si1 0.0000 0.0000 0.2500
W1 0.1590 0.3410 0.0000
```

Peak list (6 most intense, 2θ from 10° to 90°, in order of rising 2θ)
2.462 Å, 2θ 36.5, rel. 206, hkl 0 0 2; 2.351 Å, 2θ 38.3, rel. 1000, hkl 2 1 1; 1.892 Å, 2θ 48.1, rel. 168, hkl 3 1 0; 1.399 Å, 2θ 66.9, rel. 198, hkl 2 1 3; 1.392 Å, 2θ 67.3, rel. 133, hkl 4 1 1; 1.224 Å, 2θ 78.1, rel. 122, hkl 3 3 2

***

9.
# Li2TlAu
Computed PXRD pattern, copper Kα. Input: a GGA-PBE-relaxed structure.
Peak positions follow from Bragg's law for the DFT cell and can differ from measured ones.

Cell and atoms:
```
data_Li2TlAu
_cell_length_a 4.8404
_cell_length_b 4.8404
_cell_length_c 7.8382
_cell_angle_alpha 90.00
_cell_angle_beta 90.00
_cell_angle_gamma 120.00
_space_group_name_H-M_alt 'P 63/m m c'
_space_group_IT_number 194
_space_group_name_Hall '-P 6c 2c'
loop_
_atom_site_label
_atom_site_fract_x
_atom_site_fract_y
_atom_site_fract_z
Li1 0.3333 0.6667 0.0829
Tl1 0.0000 0.0000 0.2500
Au1 0.3333 0.6667 0.7500
```

Peak list (6 most intense, 2θ from 10° to 90°, in order of rising 2θ)
3.919 Å, 2θ 22.7, rel. 918, hkl 0 0 2; 3.696 Å, 2θ 24.1, rel. 864, hkl 1 0 1; 2.420 Å, 2θ 37.1, rel. 859, hkl 1 1 0; 2.217 Å, 2θ 40.7, rel. 263, hkl 1 0 3; 2.059 Å, 2θ 44.0, rel. 1000, hkl 1 1 2; 1.523 Å, 2θ 60.8, rel. 387, hkl 1 1 4

***

10.
# Ge2Pt9
Computed PXRD pattern, copper Kα. Input: a GGA-PBE-relaxed structure.
Peak positions follow from Bragg's law for the DFT cell and can differ from measured ones.

Cell and atoms:
```
data_Ge2Pt9
_cell_length_a 2.8264
_cell_length_b 2.8264
_cell_length_c 37.5287
_cell_angle_alpha 90.00
_cell_angle_beta 90.00
_cell_angle_gamma 120.00
_space_group_name_H-M_alt 'P -3 m 1'
_space_group_IT_number 164
_space_group_name_Hall '-P 3 2"'
loop_
_atom_site_label
_atom_site_fract_x
_atom_site_fract_y
_atom_site_fract_z
Ge1 0.3333 0.6667 0.3019
Pt1 0.0000 0.0000 0.0000
Pt2 0.0000 0.0000 0.1817
Pt3 0.3333 0.6667 0.1205
Pt4 0.3333 0.6667 0.7549
Pt5 0.3333 0.6667 0.9398
```

Peak list (6 most intense, 2θ from 10° to 90°, in order of rising 2θ)
2.346 Å, 2θ 38.4, rel. 347, hkl 0 0 16; 2.327 Å, 2θ 38.7, rel. 1000, hkl 1 0 5; 2.279 Å, 2θ 39.5, rel. 909, hkl 1 0 6; 1.989 Å, 2θ 45.6, rel. 839, hkl 0 1 11; 1.413 Å, 2θ 66.1, rel. 426, hkl 1 1 0; 1.400 Å, 2θ 66.9, rel. 264, hkl 1 0 22

***

11.
# Hf2Co2BiSb
Computed PXRD pattern, copper Kα. Input: a GGA-PBE-relaxed structure.
Peak positions follow from Bragg's law for the DFT cell and can differ from measured ones.

Cell and atoms:
```
data_Hf2Co2BiSb
_cell_length_a 11.0632
_cell_length_b 3.9330
_cell_length_c 11.3351
_cell_angle_alpha 90.00
_cell_angle_beta 91.56
_cell_angle_gamma 90.00
_space_group_name_H-M_alt 'P 1 m 1'
_space_group_IT_number 6
_space_group_name_Hall 'P -2y'
loop_
_atom_site_label
_atom_site_fract_x
_atom_site_fract_y
_atom_site_fract_z
Hf1 0.0000 0.0000 0.0000
Hf2 0.0154 0.0000 0.3432
Hf3 0.0689 0.5000 0.5537
Hf4 0.2462 0.5000 0.9479
Hf5 0.4588 0.0000 0.0830
Hf6 0.5373 0.0000 0.5230
Hf7 0.7108 0.5000 0.7200
Hf8 0.8378 0.5000 0.1861
Co1 0.1935 0.0000 0.4970
Co2 0.2322 0.0000 0.0927
Co3 0.4874 0.5000 0.6506
Co4 0.6083 0.5000 0.0768
Co5 0.7705 0.0000 0.3237
Co6 0.8510 0.5000 0.9433
Co7 0.8632 0.0000 0.7813
Co8 0.8767 0.5000 0.4210
Bi1 0.3012 0.0000 0.7043
Bi2 0.3256 0.0000 0.3178
Bi3 0.5971 0.5000 0.3095
Bi4 0.7169 0.0000 0.9717
Sb1 0.0194 0.5000 0.8010
Sb2 0.1050 0.5000 0.1702
Sb3 0.4891 0.5000 0.8757
Sb4 0.8204 0.0000 0.5543
```

Peak list (6 most intense, 2θ from 10° to 90°, in order of rising 2θ)
3.089 Å, 2θ 28.9, rel. 1000, hkl 1 1 2; 2.672 Å, 2θ 33.5, rel. 596, hkl 3 0 -3; 2.657 Å, 2θ 33.7, rel. 723, hkl 1 1 -3; 2.229 Å, 2θ 40.5, rel. 700, hkl 4 1 -1; 2.210 Å, 2θ 40.8, rel. 598, hkl 1 0 5; 1.967 Å, 2θ 46.2, rel. 789, hkl 0 2 0

***

12.
# Ba2ZrO3F
Computed PXRD pattern, copper Kα. Input: a GGA-PBE-relaxed structure.
Peak positions follow from Bragg's law for the DFT cell and can differ from measured ones.

Cell and atoms:
```
data_Ba2ZrO3F
_cell_length_a 4.1262
_cell_length_b 4.1262
_cell_length_c 14.2602
_cell_angle_alpha 90.00
_cell_angle_beta 90.00
_cell_angle_gamma 90.00
_space_group_name_H-M_alt 'P 4/n m m'
_space_group_IT_number 129
loop_
_space_group_symop_operation_xyz
'x,y,z'
'-x,-y,-z'
'-y+1/2,x,z'
'y+1/2,-x,-z'
'-x+1/2,-y+1/2,z'
'x+1/2,y+1/2,-z'
'y,-x+1/2,z'
'-y,x+1/2,-z'
'x+1/2,-y,-z'
'-x+1/2,y,z'
'-y,-x,-z'
'y,x,z'
'-x,y+1/2,-z'
'x,-y+1/2,z'
'y+1/2,x+1/2,-z'
'-y+1/2,-x+1/2,z'
loop_
_atom_site_label
_atom_site_fract_x
_atom_site_fract_y
_atom_site_fract_z
Ba1 0.2500 0.2500 0.0874
Ba2 0.2500 0.2500 0.3871
Zr1 0.2500 0.2500 0.7628
O1 0.2500 0.2500 0.9019
O2 0.2500 0.7500 0.2719
F1 0.2500 0.2500 0.5745
```

Peak list (6 most intense, 2θ from 10° to 90°, in order of rising 2θ)
3.116 Å, 2θ 28.6, rel. 1000, hkl 1 0 3; 2.918 Å, 2θ 30.6, rel. 617, hkl 1 1 0; 2.063 Å, 2θ 43.9, rel. 328, hkl 2 0 0; 1.843 Å, 2θ 49.5, rel. 193, hkl 1 1 6; 1.720 Å, 2θ 53.3, rel. 360, hkl 2 1 3; 1.558 Å, 2θ 59.3, rel. 142, hkl 2 0 6